# 1
# Y2AgTe
Calculated X-ray powder pattern, a wavelength of 1.5418 Å. Input: a structure optimized by DFT (PBE).
Intensities are scaled so that the largest is 100.

Cell and atoms:
a b c (Å): 4.3769 4.1795 11.5973
angles (deg): 90.00 90.00 90.00
Atoms (fractional coordinates):
1 Y 0.0000 0.0000 0.0000
2 Y 0.0000 0.5000 0.5000
3 Y 0.5000 0.0000 0.2882
4 Y 0.5000 0.5000 0.7882
5 Ag 0.5000 0.0000 0.5446
6 Ag 0.5000 0.5000 0.0446
7 Te 0.0000 0.0000 0.7274
8 Te 0.0000 0.5000 0.2274

Principal peaks in the range 2θ = 10–90°, by angle:
30.56 deg, intensity 100
30.84 deg, intensity 33
37.20 deg, intensity 27
37.78 deg, intensity 72
41.25 deg, intensity 26
43.30 deg, intensity 22

=====

# 2
# TmZr
Calculated X-ray powder pattern, a wavelength of 1.5418 Å. Input: a structure optimized by DFT (PBE).
Intensities are scaled so that the largest is 100.

Cell and atoms:
a b c (Å): 5.8087 3.3553 10.9250
angles (deg): 90.00 100.14 90.00
Atoms (fractional coordinates):
1 Tm 0.1214 0.0000 0.3629
2 Tm 0.3786 0.5000 0.6371
3 Tm 0.6214 0.5000 0.3629
4 Tm 0.8786 0.0000 0.6371
5 Zr 0.2066 0.5000 0.1162
6 Zr 0.2934 0.0000 0.8838
7 Zr 0.7066 0.0000 0.1162
8 Zr 0.7934 0.5000 0.8838

Principal peaks in the range 2θ = 10–90°, by angle:
32.77 deg, intensity 34
33.33 deg, intensity 43
33.84 deg, intensity 100
36.56 deg, intensity 53
54.73 deg, intensity 34
65.60 deg, intensity 36

=====

# 3
# YHo3Tl4
Calculated X-ray powder pattern, a wavelength of 1.5418 Å. Input: a structure optimized by DFT (PBE).
Intensities are scaled so that the largest is 100.

Cell and atoms:
a b c (Å): 3.7827 3.7827 15.1077
angles (deg): 90.00 90.00 90.00
Atoms (fractional coordinates):
1 Y 0.0000 0.0000 0.0000
2 Ho 0.0000 0.0000 0.2511
3 Ho 0.0000 0.0000 0.5000
4 Ho 0.0000 0.0000 0.7489
5 Tl 0.5000 0.5000 0.1267
6 Tl 0.5000 0.5000 0.3757
7 Tl 0.5000 0.5000 0.6243
8 Tl 0.5000 0.5000 0.8733

Principal peaks in the range 2θ = 10–90°, by angle:
33.52 deg, intensity 100
48.13 deg, intensity 18
59.93 deg, intensity 38
70.44 deg, intensity 12
80.26 deg, intensity 11
80.39 deg, intensity 6

=====

# 4
# Th2Pa2Ru5
Calculated X-ray powder pattern, a wavelength of 1.5418 Å. Input: a structure optimized by DFT (PBE).
Intensities are scaled so that the largest is 100.

Cell and atoms:
a b c (Å): 7.6667 7.6667 8.0855
angles (deg): 90.00 90.00 57.16
Atoms (fractional coordinates):
1 Th 0.2103 0.2103 0.0000
2 Th 0.2897 0.2897 0.5000
3 Th 0.7103 0.7103 0.5000
4 Th 0.7897 0.7897 0.0000
5 Pa 0.1539 0.8461 0.6765
6 Pa 0.3461 0.6539 0.1765
7 Pa 0.6539 0.3461 0.8235
8 Pa 0.8461 0.1539 0.3235
9 Ru 0.0000 0.0000 0.0000
10 Ru 0.0518 0.7270 0.3942
11 Ru 0.2270 0.5518 0.8942
12 Ru 0.2730 0.9482 0.3942
13 Ru 0.4482 0.7730 0.8942
14 Ru 0.5000 0.5000 0.5000
15 Ru 0.5518 0.2270 0.1058
16 Ru 0.7270 0.0518 0.6058
17 Ru 0.7730 0.4482 0.1058
18 Ru 0.9482 0.2730 0.6058

Principal peaks in the range 2θ = 10–90°, by angle:
25.72 deg, intensity 100
32.20 deg, intensity 62
36.14 deg, intensity 74
37.27 deg, intensity 64
37.95 deg, intensity 65
39.06 deg, intensity 74

=====

Copy entry 1 word for word.
# Y2AgTe
Calculated X-ray powder pattern, a wavelength of 1.5418 Å. Input: a structure optimized by DFT (PBE).
Intensities are scaled so that the largest is 100.

Cell and atoms:
a b c (Å): 4.3769 4.1795 11.5973
angles (deg): 90.00 90.00 90.00
Atoms (fractional coordinates):
1 Y 0.0000 0.0000 0.0000
2 Y 0.0000 0.5000 0.5000
3 Y 0.5000 0.0000 0.2882
4 Y 0.5000 0.5000 0.7882
5 Ag 0.5000 0.0000 0.5446
6 Ag 0.5000 0.5000 0.0446
7 Te 0.0000 0.0000 0.7274
8 Te 0.0000 0.5000 0.2274

Principal peaks in the range 2θ = 10–90°, by angle:
30.56 deg, intensity 100
30.84 deg, intensity 33
37.20 deg, intensity 27
37.78 deg, intensity 72
41.25 deg, intensity 26
43.30 deg, intensity 22